Structure and simulated powder diffraction line list of ErGeHO4 (a structure optimized by DFT (PBE); Cu Ka).
Intensities are scaled so that the largest is 100.

Largest 6 diffraction maxima, in order of falling intensity, 2θ = 10–90°:
2theta	I_rel
26.4	100
25.4	94
31.1	58
34.4	56
18.4	46
37.0	46

Structural model:
```
ErGeHO4
1.0
6.657 0.000 0.000
0.000 6.859 0.000
0.003 2.170 7.015
Er Ge H O
4 4 4 16
Cartesian
0.000 0.000 0.000 Er
1.405 3.430 0.002 Er
3.275 5.943 4.103 Er
4.788 2.513 4.101 Er
1.675 2.714 3.809 Ge
3.081 6.838 0.181 Ge
4.980 3.410 0.184 Ge
6.389 6.143 3.808 Ge
0.164 3.954 2.543 H
1.245 7.381 2.542 H
3.496 7.493 2.265 H
4.563 4.070 2.267 H
0.272 2.419 4.784 O
0.413 6.885 2.293 O
0.997 3.463 2.295 O
1.134 5.846 4.786 O
1.912 7.762 6.901 O
1.970 1.324 0.308 O
2.619 1.255 3.502 O
2.959 3.780 4.290 O
3.573 5.697 6.205 O
3.813 6.636 1.837 O
4.243 3.214 1.838 O
4.496 2.269 6.204 O
5.104 7.210 4.284 O
5.443 4.684 3.504 O
6.092 4.754 0.307 O
6.156 4.331 6.917 O
```



Structure and simulated powder diffraction line list of ErGeH2O4 (a structure optimized by DFT (PBE); Cu Ka).
Intensities are scaled so that the largest is 100.

Largest 6 diffraction maxima, in order of falling intensity, 2θ = 10–90°:
2theta	I_rel
29.0	100
35.4	99
23.5	95
25.6	94
18.5	86
30.5	78

Structural model:
```
ErGeH2O4
1.0
4.937 0.000 0.000
0.000 6.161 0.000
-1.383 0.000 5.794
Er Ge H O
2 2 4 8
Cartesian
0.008 1.540 0.999 Er
3.546 4.621 4.795 Er
0.502 1.540 4.092 Ge
3.052 4.621 1.702 Ge
0.937 4.621 3.025 H
2.468 0.000 0.000 H
2.468 3.081 0.000 H
2.617 1.540 2.769 H
-0.481 4.621 2.785 O
-0.050 0.149 5.419 O
-0.050 2.932 5.419 O
1.612 1.540 2.491 O
1.941 4.621 3.302 O
3.604 3.230 0.375 O
3.604 6.012 0.375 O
4.034 1.540 3.009 O
```



Structure and simulated powder diffraction line list of HoErGe2Pt4 (a structure optimized by DFT (PBE); Cu Ka).
Intensities are scaled so that the largest is 100.

Largest 6 diffraction maxima, in order of falling intensity, 2θ = 10–90°:
2theta	I_rel
38.1	100
41.4	69
57.5	31
73.2	30
23.5	30
76.6	13

Structural model:
```
HoErGe2Pt4
1.0
4.366 0.000 0.000
-2.183 3.781 0.000
0.000 0.000 9.078
Ho Er Ge Pt
1 1 2 4
Cartesian
0.000 0.000 0.000 Ho
2.183 1.260 4.539 Er
0.000 2.521 2.272 Ge
0.000 2.521 6.805 Ge
0.000 0.000 3.053 Pt
0.000 0.000 6.024 Pt
2.183 1.260 1.496 Pt
2.183 1.260 7.582 Pt
```



Structure and simulated powder diffraction line list of Er4GeI5 (a structure optimized by DFT (PBE); Cu Ka).
Intensities are scaled so that the largest is 100.

Largest 6 diffraction maxima, in order of falling intensity, 2θ = 10–90°:
2theta	I_rel
29.6	100
28.9	49
41.8	34
42.0	32
10.4	32
43.4	19

Structural model:
```
Er4GeI5
1.0
9.504 -2.087 0.000
9.504 2.087 0.000
-1.932 0.000 8.498
Er Ge I
4 1 5
Cartesian
-0.398 0.000 1.786 Er
17.475 0.000 6.712 Er
4.947 0.000 7.870 Er
12.129 0.000 0.628 Er
9.504 0.000 0.000 Ge
2.519 0.000 2.856 I
1.654 0.000 7.056 I
8.538 0.000 4.249 I
15.422 0.000 1.441 I
14.558 0.000 5.642 I
```



Structure and simulated powder diffraction line list of ErTmGeI2 (a structure optimized by DFT (PBE); Cu Ka).
Intensities are scaled so that the largest is 100.

Largest 6 diffraction maxima, in order of falling intensity, 2θ = 10–90°:
2theta	I_rel
29.7	100
43.2	32
41.8	29
53.3	19
70.9	16
24.5	15

Structural model:
```
ErTmGeI2
1.0
4.191 0.000 0.000
-2.096 3.630 0.000
0.000 0.000 10.745
Er Tm Ge I
1 1 1 2
Cartesian
0.000 0.000 0.000 Er
2.096 1.210 3.061 Tm
0.000 2.420 1.538 Ge
0.000 0.000 5.050 I
2.096 1.210 8.743 I
```



Structure and simulated powder diffraction line list of Er4InGe4Os2 (a structure optimized by DFT (PBE); Cu Ka).
Intensities are scaled so that the largest is 100.

Largest 6 diffraction maxima, in order of falling intensity, 2θ = 10–90°:
2theta	I_rel
36.0	100
42.3	79
35.9	74
36.6	64
32.9	58
34.7	54

Structural model:
```
Er4InGe4Os2
1.0
7.828 -2.138 0.000
7.828 2.138 0.000
-2.022 0.000 6.668
Er In Ge Os
4 1 4 2
Cartesian
0.602 0.000 2.604 Er
0.510 0.000 6.217 Er
13.124 0.000 0.451 Er
13.033 0.000 4.064 Er
7.828 0.000 0.000 In
3.190 0.000 4.949 Ge
6.128 0.000 2.269 Ge
7.507 0.000 4.399 Ge
10.445 0.000 1.719 Ge
3.641 0.000 2.446 Os
9.993 0.000 4.222 Os
```



Structure and simulated powder diffraction line list of Er2Tm2InGe4Pd2 (a structure optimized by DFT (PBE); Cu Ka).
Intensities are scaled so that the largest is 100.

Largest 6 diffraction maxima, in order of falling intensity, 2θ = 10–90°:
2theta	I_rel
33.0	100
35.9	71
34.5	64
35.8	58
42.8	55
40.0	39

Structural model:
```
Er2Tm2InGe4Pd2
1.0
7.869 -2.113 0.000
7.869 2.113 0.000
-2.157 0.000 6.759
Er Tm In Ge Pd
2 2 1 4 2
Cartesian
0.543 0.000 2.580 Er
13.038 0.000 4.179 Er
0.475 0.000 6.242 Tm
13.106 0.000 0.518 Tm
7.869 0.000 0.000 In
3.225 0.000 5.172 Ge
6.164 0.000 2.288 Ge
7.417 0.000 4.472 Ge
10.356 0.000 1.587 Ge
3.631 0.000 2.477 Pd
9.950 0.000 4.282 Pd
```



Structure and simulated powder diffraction line list of LaErGe2Ir (a structure optimized by DFT (PBE); Cu Ka).
Intensities are scaled so that the largest is 100.

Largest 6 diffraction maxima, in order of falling intensity, 2θ = 10–90°:
2theta	I_rel
32.1	100
39.3	92
41.1	76
33.0	73
33.1	69
36.3	47

Structural model:
```
LaErGe2Ir
1.0
5.374 -2.195 0.000
5.374 2.195 0.000
-4.652 0.000 9.327
La Er Ge Ir
2 2 4 2
Cartesian
1.553 0.000 1.103 La
4.543 0.000 8.225 La
-1.412 0.000 3.131 Er
7.508 0.000 6.197 Er
1.726 0.000 4.209 Ge
4.690 0.000 1.181 Ge
1.406 0.000 8.146 Ge
4.370 0.000 5.118 Ge
-0.233 0.000 6.120 Ir
6.329 0.000 3.207 Ir
```



Structure and simulated powder diffraction line list of ErTmGe2Ir (a structure optimized by DFT (PBE); Cu Ka).
Intensities are scaled so that the largest is 100.

Largest 6 diffraction maxima, in order of falling intensity, 2θ = 10–90°:
2theta	I_rel
33.9	100
33.0	78
40.6	69
42.3	56
37.2	38
34.5	31

Structural model:
```
ErTmGe2Ir
1.0
5.204 -2.137 0.000
5.204 2.137 0.000
-4.593 0.000 9.123
Er Tm Ge Ir
2 2 4 2
Cartesian
-1.428 0.000 3.007 Er
7.244 0.000 6.117 Er
1.430 0.000 1.082 Tm
4.386 0.000 8.042 Tm
1.630 0.000 4.078 Ge
4.446 0.000 1.050 Ge
1.369 0.000 8.073 Ge
4.186 0.000 5.045 Ge
-0.227 0.000 6.070 Ir
6.042 0.000 3.053 Ir
```



Structure and simulated powder diffraction line list of ErTmGe2Ir (a structure optimized by DFT (PBE); Cu Ka).
Intensities are scaled so that the largest is 100.

Largest 6 diffraction maxima, in order of falling intensity, 2θ = 10–90°:
2theta	I_rel
33.9	100
33.0	78
40.6	69
42.3	55
37.3	38
34.6	31

Structural model:
```
ErTmGe2Ir
1.0
5.201 -2.137 0.000
5.201 2.137 0.000
-4.585 0.000 9.126
Er Tm Ge Ir
2 2 4 2
Cartesian
1.430 0.000 1.081 Er
4.387 0.000 8.044 Er
-1.426 0.000 3.009 Tm
7.243 0.000 6.117 Tm
1.632 0.000 4.080 Ge
4.444 0.000 1.051 Ge
1.373 0.000 8.074 Ge
4.185 0.000 5.045 Ge
-0.223 0.000 6.069 Ir
6.040 0.000 3.056 Ir
```



Structure and simulated powder diffraction line list of ErLuNiGe2 (a structure optimized by DFT (PBE); Cu Ka).
Intensities are scaled so that the largest is 100.

Largest 6 diffraction maxima, in order of falling intensity, 2θ = 10–90°:
2theta	I_rel
34.5	100
41.6	65
34.1	58
43.3	46
33.8	43
37.8	38

Structural model:
```
ErLuNiGe2
1.0
5.132 -2.090 0.000
5.132 2.090 0.000
-4.653 0.000 8.924
Er Lu Ni Ge
2 2 2 4
Cartesian
1.405 0.000 0.979 Er
4.206 0.000 7.945 Er
-1.465 0.000 2.970 Lu
7.076 0.000 5.954 Lu
-0.189 0.000 5.807 Ni
5.800 0.000 3.116 Ni
1.546 0.000 3.888 Ge
4.363 0.000 1.096 Ge
1.248 0.000 7.828 Ge
4.065 0.000 5.035 Ge
```



Structure and simulated powder diffraction line list of ErLuGe2Os (a structure optimized by DFT (PBE); Cu Ka).
Intensities are scaled so that the largest is 100.

Largest 6 diffraction maxima, in order of falling intensity, 2θ = 10–90°:
2theta	I_rel
33.5	100
37.2	82
40.7	70
42.3	66
33.6	63
10.0	43

Structural model:
```
ErLuGe2Os
1.0
5.306 -2.136 0.000
5.306 2.136 0.000
-4.652 0.000 8.838
Er Lu Ge Os
2 2 4 2
Cartesian
1.422 0.000 1.019 Er
4.538 0.000 7.819 Er
-3.104 0.000 5.952 Lu
9.064 0.000 2.886 Lu
1.780 0.000 3.874 Ge
4.562 0.000 1.102 Ge
1.398 0.000 7.737 Ge
4.180 0.000 4.964 Ge
-0.092 0.000 5.587 Os
6.052 0.000 3.251 Os
```